(1)
# TbHg2Pd4
Theoretical powder diffraction line list, λ = 1.5418 Å (Cu Kα). Input: a crystal structure in Alexandria, relaxed with PBE.
Neutral-atom scattering factors, no anomalous dispersion.

Peak list (10 most intense, 10° ≤ 2θ ≤ 90°, in order of rising 2θ)
- 36.9°, I = 100
- 37.1°, I = 50
- 37.6°, I = 47
- 41.2°, I = 36
- 43.3°, I = 32
- 44.9°, I = 29
- 61.0°, I = 12
- 61.7°, I = 11
- 62.2°, I = 11
- 63.6°, I = 10

Atomic structure:
abc: 5.765 6.850 7.812
angles: 108.18 110.57 100.86
Element x y z (fractional)
Tb 0.000 0.000 0.000
Tb 0.233 0.727 0.594
Hg 0.383 0.855 0.295
Hg 0.455 0.427 0.160
Hg 0.595 0.548 0.871
Hg 0.824 0.279 0.460
Pd 0.098 0.578 0.877
Pd 0.159 0.135 0.728
Pd 0.313 0.286 0.442
Pd 0.516 0.006 0.015
Pd 0.655 0.133 0.723
Pd 0.725 0.704 0.582
Pd 0.884 0.866 0.301
Pd 0.950 0.427 0.162


(2)
# TbHgPd14
Theoretical powder diffraction line list, λ = 1.5418 Å (Cu Kα). Input: a crystal structure in Alexandria, relaxed with PBE.
Neutral-atom scattering factors, no anomalous dispersion.

Peak list (10 most intense, 10° ≤ 2θ ≤ 90°, in order of rising 2θ)
- 22.1°, I = 2
- 24.7°, I = 2
- 38.8°, I = 100
- 45.0°, I = 33
- 45.2°, I = 16
- 65.5°, I = 10
- 65.7°, I = 20
- 78.8°, I = 25
- 79.1°, I = 12
- 83.2°, I = 11

Atomic structure:
abc: 5.699 5.699 8.025
angles: 90.00 90.00 90.00
Element x y z (fractional)
Tb 0.000 0.000 0.000
Hg 0.500 0.500 0.000
Pd 0.000 0.000 0.500
Pd 0.000 0.500 0.000
Pd 0.000 0.500 0.500
Pd 0.250 0.250 0.258
Pd 0.250 0.250 0.742
Pd 0.250 0.750 0.258
Pd 0.250 0.750 0.742
Pd 0.500 0.000 0.000
Pd 0.500 0.000 0.500
Pd 0.500 0.500 0.500
Pd 0.750 0.250 0.258
Pd 0.750 0.250 0.742
Pd 0.750 0.750 0.258
Pd 0.750 0.750 0.742


(3)
# TbHg3Pd7
Theoretical powder diffraction line list, λ = 1.5418 Å (Cu Kα). Input: a crystal structure in Alexandria, relaxed with PBE.
Neutral-atom scattering factors, no anomalous dispersion.

Peak list (10 most intense, 10° ≤ 2θ ≤ 90°, in order of rising 2θ)
- 21.2°, I = 22
- 28.7°, I = 46
- 33.9°, I = 62
- 36.3°, I = 22
- 37.7°, I = 63
- 38.2°, I = 100
- 41.4°, I = 19
- 43.2°, I = 25
- 43.9°, I = 45
- 51.6°, I = 29

Atomic structure:
abc: 6.607 6.607 5.399
angles: 106.06 106.06 92.48
Element x y z (fractional)
Tb 0.000 0.000 0.000
Hg 0.283 0.717 0.500
Hg 0.500 0.500 0.000
Hg 0.717 0.283 0.500
Pd 0.000 0.000 0.500
Pd 0.081 0.563 0.819
Pd 0.288 0.288 0.459
Pd 0.437 0.919 0.181
Pd 0.563 0.081 0.819
Pd 0.712 0.712 0.541
Pd 0.919 0.437 0.181


(4)
# TbHg3Pd6
Theoretical powder diffraction line list, λ = 1.5418 Å (Cu Kα). Input: a crystal structure in Alexandria, relaxed with PBE.
Neutral-atom scattering factors, no anomalous dispersion.

Peak list (10 most intense, 10° ≤ 2θ ≤ 90°, in order of rising 2θ)
- 37.2°, I = 100
- 37.5°, I = 96
- 43.3°, I = 31
- 43.4°, I = 33
- 43.6°, I = 31
- 62.9°, I = 20
- 63.2°, I = 21
- 75.2°, I = 12
- 75.6°, I = 13
- 75.7°, I = 34

Atomic structure:
abc: 9.295 4.170 9.338
angles: 90.00 90.79 90.00
Element x y z (fractional)
Tb 0.203 0.250 0.165
Tb 0.797 0.750 0.835
Hg 0.176 0.750 0.650
Hg 0.302 0.250 0.859
Hg 0.398 0.250 0.548
Hg 0.602 0.750 0.452
Hg 0.698 0.750 0.141
Hg 0.824 0.250 0.350
Pd 0.013 0.750 0.249
Pd 0.099 0.750 0.950
Pd 0.105 0.250 0.457
Pd 0.308 0.750 0.356
Pd 0.402 0.750 0.058
Pd 0.489 0.750 0.754
Pd 0.511 0.250 0.246
Pd 0.598 0.250 0.942
Pd 0.692 0.250 0.644
Pd 0.895 0.750 0.543
Pd 0.901 0.250 0.050
Pd 0.987 0.250 0.751